Starting from a crystal structure in the Materials Project, relaxed with GGA-PBE, the XRD peak list of Tl3V was simulated for Cu Kα, 1.54184 Å.
Peak positions follow from Bragg's law for the DFT cell and can differ from measured ones.

Structural model:
```
Tl3V
1.0
4.6235 0.0000 0.0000
0.0000 4.6235 0.0000
0.0000 0.0000 9.5373
Tl V
6 2
Direct
0.0000 0.0000 0.0000
0.0000 0.5000 0.2500
0.0000 0.5000 0.7500
0.5000 0.0000 0.2500
0.5000 0.0000 0.7500
0.5000 0.5000 0.5000
0.0000 0.0000 0.5000
0.5000 0.5000 0.0000
```

Peak list (10 most intense, 2θ = 10–90°, most intense first)
hkl 1 1 2, d = 2.696 Å, 2θ 33.23, intensity 100.0; hkl 2 0 0, d = 2.312 Å, 2θ 38.96, intensity 32.6; hkl 3 1 2, d = 1.398 Å, 2θ 66.94, intensity 26.8; hkl 2 0 4, d = 1.660 Å, 2θ 55.35, intensity 23.7; hkl 0 0 4, d = 2.384 Å, 2θ 37.73, intensity 17.8; hkl 1 0 1, d = 4.160 Å, 2θ 21.36, intensity 15.3; hkl 1 1 6, d = 1.430 Å, 2θ 65.27, intensity 14.5; hkl 2 2 4, d = 1.348 Å, 2θ 69.75, intensity 11.9; hkl 2 2 0, d = 1.635 Å, 2θ 56.28, intensity 11.3; hkl 0 0 2, d = 4.769 Å, 2θ 18.61, intensity 5.2


Starting from a crystal structure in the Materials Project, relaxed with GGA-PBE, the XRD peak list of YTl3 was simulated for Cu Kα, 1.54184 Å.
Peak positions follow from Bragg's law for the DFT cell and can differ from measured ones.

Structural model:
```
YTl3
1.0
4.7867 0.0000 0.0000
0.0000 4.7867 0.0000
0.0000 0.0000 4.7867
Y Tl
1 3
Direct
0.0000 0.0000 0.0000
0.0000 0.5000 0.5000
0.5000 0.0000 0.5000
0.5000 0.5000 0.0000
```

Peak list (10 most intense, 2θ = 10–90°, most intense first)
hkl 1 1 1, d = 2.764 Å, 2θ 32.40, intensity 100.0; hkl 2 0 0, d = 2.393 Å, 2θ 37.58, intensity 50.4; hkl 3 1 1, d = 1.443 Å, 2θ 64.57, intensity 42.1; hkl 2 2 0, d = 1.692 Å, 2θ 54.20, intensity 35.5; hkl 3 3 1, d = 1.098 Å, 2θ 89.18, intensity 18.4; hkl 2 2 2, d = 1.382 Å, 2θ 67.82, intensity 12.1; hkl 1 0 0, d = 4.787 Å, 2θ 18.54, intensity 6.8; hkl 1 1 0, d = 3.385 Å, 2θ 26.33, intensity 6.1; hkl 4 0 0, d = 1.197 Å, 2θ 80.21, intensity 5.8; hkl 2 1 0, d = 2.141 Å, 2θ 42.22, intensity 3.7


Starting from a crystal structure in the Materials Project, relaxed with GGA-PBE, the XRD peak list of YTl was simulated for Cu Kα, 1.54184 Å.
Peak positions follow from Bragg's law for the DFT cell and can differ from measured ones.

Structural model:
```
YTl
1.0
3.8107 0.0000 0.0000
0.0000 3.8107 0.0000
0.0000 0.0000 3.8107
Y Tl
1 1
Direct
0.0000 0.0000 0.0000
0.5000 0.5000 0.5000
```

Peak list (10 most intense, 2θ = 10–90°, most intense first)
hkl 1 1 0, d = 2.695 Å, 2θ 33.25, intensity 100.0; hkl 2 1 1, d = 1.556 Å, 2θ 59.41, intensity 38.0; hkl 2 0 0, d = 1.905 Å, 2θ 47.73, intensity 18.2; hkl 3 1 0, d = 1.205 Å, 2θ 79.54, intensity 16.4; hkl 1 0 0, d = 3.811 Å, 2θ 23.34, intensity 16.3; hkl 2 2 0, d = 1.347 Å, 2θ 69.81, intensity 11.7; hkl 2 1 0, d = 1.704 Å, 2θ 53.79, intensity 7.7; hkl 1 1 1, d = 2.200 Å, 2θ 41.02, intensity 5.4; hkl 2 2 2, d = 1.100 Å, 2θ 88.98, intensity 4.3; hkl 3 0 0, d = 1.270 Å, 2θ 74.73, intensity 3.8


Starting from a crystal structure in the Materials Project, relaxed with GGA-PBE, the XRD peak list of Tl3Zn was simulated for Cu Kα, 1.54184 Å.
Peak positions follow from Bragg's law for the DFT cell and can differ from measured ones.

Structural model:
```
Tl3Zn
1.0
4.7597 0.0000 0.0000
0.0000 4.7597 0.0000
0.0000 0.0000 9.9011
Tl Zn
6 2
Direct
0.0000 0.0000 0.0000
0.0000 0.5000 0.2500
0.0000 0.5000 0.7500
0.5000 0.0000 0.2500
0.5000 0.0000 0.7500
0.5000 0.5000 0.5000
0.0000 0.0000 0.5000
0.5000 0.5000 0.0000
```

Peak list (10 most intense, 2θ = 10–90°, most intense first)
hkl 1 1 2, d = 2.783 Å, 2θ 32.16, intensity 100.0; hkl 2 0 0, d = 2.380 Å, 2θ 37.80, intensity 32.5; hkl 3 1 2, d = 1.440 Å, 2θ 64.73, intensity 27.3; hkl 2 0 4, d = 1.716 Å, 2θ 53.41, intensity 24.3; hkl 0 0 4, d = 2.475 Å, 2θ 36.29, intensity 18.2; hkl 1 1 6, d = 1.482 Å, 2θ 62.71, intensity 15.0; hkl 3 1 6, d = 1.112 Å, 2θ 87.77, intensity 12.4; hkl 2 2 4, d = 1.392 Å, 2θ 67.28, intensity 12.2; hkl 2 2 0, d = 1.683 Å, 2θ 54.53, intensity 11.4; hkl 1 0 1, d = 4.290 Å, 2θ 20.71, intensity 10.6


Starting from a crystal structure in the Materials Project, relaxed with GGA-PBE, the XRD peak list of Tl3Zn was simulated for Cu Kα, 1.54184 Å.
Peak positions follow from Bragg's law for the DFT cell and can differ from measured ones.

Structural model:
```
Tl3Zn
1.0
4.8010 0.0000 0.0000
0.0000 4.8010 0.0000
0.0000 0.0000 4.8010
Tl Zn
3 1
Direct
0.0000 0.0000 0.5000
0.0000 0.5000 0.0000
0.5000 0.0000 0.0000
0.5000 0.5000 0.5000
```

Peak list (10 most intense, 2θ = 10–90°, most intense first)
hkl 1 1 1, d = 2.772 Å, 2θ 32.30, intensity 100.0; hkl 2 0 0, d = 2.400 Å, 2θ 37.47, intensity 50.5; hkl 3 1 1, d = 1.448 Å, 2θ 64.36, intensity 42.2; hkl 2 2 0, d = 1.697 Å, 2θ 54.02, intensity 35.6; hkl 3 3 1, d = 1.101 Å, 2θ 88.84, intensity 18.3; hkl 2 2 2, d = 1.386 Å, 2θ 67.59, intensity 12.1; hkl 1 0 0, d = 4.801 Å, 2θ 18.48, intensity 10.4; hkl 1 1 0, d = 3.395 Å, 2θ 26.25, intensity 9.1; hkl 4 0 0, d = 1.200 Å, 2θ 79.93, intensity 5.8; hkl 2 1 0, d = 2.147 Å, 2θ 42.08, intensity 5.4


Starting from a crystal structure in the Materials Project, relaxed with GGA-PBE, the XRD peak list of Tl3Zn was simulated for Cu Kα, 1.54184 Å.
Peak positions follow from Bragg's law for the DFT cell and can differ from measured ones.

Structural model:
```
Tl3Zn
1.0
7.6623 0.0000 0.0000
0.0000 7.6623 0.0000
0.0000 0.0000 7.6623
Tl Zn
12 4
Direct
0.0000 0.0000 0.0000
0.0000 0.5000 0.5000
0.2500 0.2500 0.2500
0.2500 0.2500 0.7500
0.2500 0.7500 0.2500
0.2500 0.7500 0.7500
0.5000 0.0000 0.5000
0.5000 0.5000 0.0000
0.7500 0.2500 0.2500
0.7500 0.2500 0.7500
0.7500 0.7500 0.2500
0.7500 0.7500 0.7500
0.0000 0.0000 0.5000
0.0000 0.5000 0.0000
0.5000 0.0000 0.0000
0.5000 0.5000 0.5000
```

Peak list (10 most intense, 2θ = 10–90°, most intense first)
hkl 2 2 0, d = 2.709 Å, 2θ 33.07, intensity 100.0; hkl 4 2 2, d = 1.564 Å, 2θ 59.06, intensity 38.7; hkl 4 0 0, d = 1.916 Å, 2θ 47.46, intensity 18.5; hkl 6 2 0, d = 1.212 Å, 2θ 79.04, intensity 16.8; hkl 4 4 0, d = 1.355 Å, 2θ 69.38, intensity 12.0; hkl 1 1 1, d = 4.424 Å, 2θ 20.07, intensity 8.1; hkl 3 1 1, d = 2.310 Å, 2θ 38.99, intensity 4.7; hkl 4 4 4, d = 1.106 Å, 2θ 88.38, intensity 4.4; hkl 2 0 0, d = 3.831 Å, 2θ 23.22, intensity 4.3; hkl 3 3 1, d = 1.758 Å, 2θ 52.02, intensity 2.1